This entry pairs a crystal structure of Ce2Cr2O7 with its computed powder XRD pattern. Radiation: Cu Kα (λ = 1.5418 Å). Structure: a crystal structure in Alexandria, relaxed with GGA+U.
Intensities are scaled so that the largest is 100.

The 10 most intense peaks (2θ from 5° to 70°), in order of rising 2θ:
14.94°, rel. 23; 28.83°, rel. 10; 30.15°, rel. 100; 34.95°, rel. 26; 38.20°, rel. 15; 45.92°, rel. 7; 50.26°, rel. 52; 52.73°, rel. 7; 59.73°, rel. 41; 62.68°, rel. 8

Atomic structure:
Cell lengths 7.2614, 7.2614, 7.2614 Å; angles 60.00, 60.00, 60.00 degrees
Fractional coordinates of all 22 atoms:
Ce 0.0000 0.0000 0.0000
Ce 0.0000 0.0000 0.5000
Ce 0.0000 0.5000 0.0000
Ce 0.5000 0.0000 0.0000
Cr 0.0000 0.5000 0.5000
Cr 0.5000 0.0000 0.5000
Cr 0.5000 0.5000 0.0000
Cr 0.5000 0.5000 0.5000
O 0.1250 0.1250 0.1250
O 0.1575 0.1575 0.5925
O 0.1575 0.5925 0.1575
O 0.1575 0.5925 0.5925
O 0.4075 0.4075 0.8425
O 0.4075 0.8425 0.4075
O 0.4075 0.8425 0.8425
O 0.5925 0.1575 0.1575
O 0.5925 0.1575 0.5925
O 0.5925 0.5925 0.1575
O 0.8425 0.4075 0.4075
O 0.8425 0.4075 0.8425
O 0.8425 0.8425 0.4075
O 0.8750 0.8750 0.8750